Simulated powder X-ray diffraction pattern of TmCo2NiH8 for Cu Kα, 1.54184 Å, from DFT lattice parameters and positions (PBE).
Lines closer than 0.1° are merged.

Structural model:
Cell: 5.654 5.654 5.654 Å, 45.61 45.61 45.61°
Fractional coordinates of all 12 atoms:
Tm  0.000  0.000  0.000
Co  0.204  0.204  0.204
Co  0.796  0.796  0.796
Ni  0.500  0.500  0.500
H  0.136  0.819  0.403
H  0.181  0.597  0.864
H  0.308  0.308  0.308
H  0.403  0.136  0.819
H  0.597  0.864  0.181
H  0.692  0.692  0.692
H  0.819  0.403  0.136
H  0.864  0.181  0.597

Largest 8 diffraction maxima, by angle, 2θ from 5° to 70°:
d (Å)	I/Imax
3.682	543
3.394	373
2.683	1000
2.370	440
2.192	896
1.697	324
1.656	384
1.409	267